No. 1
Computed powder diffractogram of Sc2FeB2Ru4Rh for Cu Kα (λ = 1.5418 Å), from the GGA-PBE geometry in the Materials Project.
No peak broadening, texture or thermal motion is included.

Top 8 peaks for 10° ≤ 2θ ≤ 90°, low angle first:
(hkl)	Position (°2θ)	Rel. int.
0 0 1	29.48	43
3 2 0	34.66	32
2 1 1	36.66	44
4 1 0	39.83	72
3 1 1	42.78	100
4 2 0	43.36	42
3 2 1	46.13	44
7 1 1	79.16	32

Crystal structure
```
20
Lattice="9.332 0.000 0.000 0.000 9.332 0.000 0.000 0.000 3.029" Properties=species:S:1:pos:R:3 pbc="T T T"
Sc 1.643 3.023 0.000
Sc 3.023 7.689 0.000
Sc 6.309 1.643 0.000
Sc 7.689 6.309 0.000
Fe 0.000 0.000 0.000
Fe 4.666 4.666 0.000
B 1.186 5.852 0.000
B 3.480 1.186 0.000
B 5.852 8.146 0.000
B 8.146 3.480 0.000
Ru 0.658 7.337 1.515
Ru 1.995 0.658 1.515
Ru 2.671 5.324 1.515
Ru 4.008 2.671 1.515
Ru 5.324 6.661 1.515
Ru 6.661 4.008 1.515
Ru 7.337 8.674 1.515
Ru 8.674 1.995 1.515
Rh 0.000 4.666 1.515
Rh 4.666 0.000 1.515
```

=====

No. 2
Computed powder diffractogram of Mg for Cu Kα (λ = 1.5418 Å), from the GGA-PBE geometry in the Materials Project.
No peak broadening, texture or thermal motion is included.

Top 8 peaks for 10° ≤ 2θ ≤ 90°, low angle first:
(hkl)	Position (°2θ)	Rel. int.
1 0 1	32.43	38
0 0 9	35.23	49
1 0 4	35.89	100
0 1 5	37.84	86
1 1 0	57.39	34
1 0 13	62.34	19
0 1 14	66.23	15
1 1 9	69.16	37

Crystal structure
```
9
Lattice="3.211 0.000 0.000 -1.606 2.781 0.000 0.000 0.000 22.927" Properties=species:S:1:pos:R:3 pbc="T T T"
Mg 0.000 0.000 0.000
Mg 0.000 0.000 5.095
Mg 0.000 0.000 17.832
Mg 0.000 1.854 10.190
Mg 0.000 1.854 15.284
Mg 0.000 1.854 20.379
Mg 1.606 0.927 2.548
Mg 1.606 0.927 7.642
Mg 1.606 0.927 12.737
```